1.
# BaHf15O31
Theoretical powder XRD pattern, CuKα. Input: a DFT-relaxed cell (PBE, OQMD).
No peak broadening, texture or thermal motion is included.

Most intense lines, 2θ from 10° to 90°, in order of falling intensity:
2θ/deg  intensity  index
30.24  100.0  2 0 -2
30.10  33.3  0 2 2
35.17  20.3  0 0 4
33.96  18.5  2 2 0
50.25  15.8  4 0 0
35.90  15.4  2 -2 0

Structural model:
```
data_BaHf15O31
_cell_length_a 7.271
_cell_length_b 7.275
_cell_length_c 10.207
_cell_angle_alpha 89.61
_cell_angle_beta 89.97
_cell_angle_gamma 86.93
_symmetry_space_group_name_H-M 'P 1'
_symmetry_Int_Tables_number 1
_symmetry_space_group_name_Hall 'P 1'
loop_
_atom_site_label
_atom_site_type_symbol
_atom_site_fract_x
_atom_site_fract_y
_atom_site_fract_z
_atom_site_occupancy
Ba1 Ba 0.000 0.000 0.000 1
Hf1 Hf 0.194 0.291 0.732 1
Hf2 Hf 0.194 0.302 0.237 1
Hf3 Hf 0.212 0.772 0.728 1
Hf4 Hf 0.227 0.775 0.260 1
Hf5 Hf 0.467 0.589 0.985 1
Hf6 Hf 0.486 0.579 0.492 1
Hf7 Hf 0.496 0.071 0.987 1
Hf8 Hf 0.501 0.071 0.487 1
Hf9 Hf 0.690 0.802 0.742 1
Hf10 Hf 0.694 0.799 0.241 1
Hf11 Hf 0.713 0.282 0.238 1
Hf12 Hf 0.714 0.275 0.741 1
Hf13 Hf 0.979 0.524 0.979 1
Hf14 Hf 0.980 0.082 0.489 1
Hf15 Hf 0.993 0.559 0.486 1
O1 O 0.075 0.823 0.541 1
O2 O 0.123 0.034 0.293 1
O3 O 0.132 0.028 0.764 1
O4 O 0.196 0.571 0.111 1
O5 O 0.232 0.525 0.611 1
O6 O 0.242 0.538 0.866 1
O7 O 0.245 0.159 0.541 1
O8 O 0.255 0.537 0.366 1
O9 O 0.267 0.186 0.062 1
O10 O 0.425 0.818 0.115 1
O11 O 0.442 0.837 0.865 1
O12 O 0.444 0.223 0.807 1
O13 O 0.447 0.218 0.312 1
O14 O 0.447 0.817 0.614 1
O15 O 0.459 0.836 0.368 1
O16 O 0.567 0.330 0.562 1
O17 O 0.570 0.351 0.059 1
O18 O 0.627 0.537 0.311 1
O19 O 0.631 0.536 0.813 1
O20 O 0.696 0.035 0.127 1
O21 O 0.726 0.038 0.858 1
O22 O 0.739 0.027 0.613 1
O23 O 0.748 0.652 0.560 1
O24 O 0.752 0.044 0.366 1
O25 O 0.758 0.678 0.055 1
O26 O 0.937 0.327 0.119 1
O27 O 0.939 0.321 0.609 1
O28 O 0.948 0.719 0.813 1
O29 O 0.950 0.717 0.302 1
O30 O 0.957 0.321 0.853 1
O31 O 0.959 0.333 0.364 1
```

=====

2.
# MgZr4TlN2
Theoretical powder XRD pattern, CuKα. Input: a DFT-relaxed cell (PBE, OQMD).
No peak broadening, texture or thermal motion is included.

Most intense lines, 2θ from 10° to 90°, in order of falling intensity:
2θ/deg  intensity  index
35.97  100.0  1 0 3
31.08  25.8  1 0 0
55.29  19.9  1 1 0
48.11  19.9  1 0 6
35.78  19.8  0 0 6
67.63  18.5  1 1 6

Structural model:
```
data_MgZr4TlN2
_cell_length_a 3.3230
_cell_length_b 3.3230
_cell_length_c 15.0558
_cell_angle_alpha 90.00
_cell_angle_beta 90.00
_cell_angle_gamma 120.00
_symmetry_space_group_name_H-M 'P -6 m 2'
_symmetry_Int_Tables_number 187
_symmetry_space_group_name_Hall 'P -6 2'
loop_
_atom_site_label
_atom_site_type_symbol
_atom_site_fract_x
_atom_site_fract_y
_atom_site_fract_z
_atom_site_occupancy
Mg1 Mg 0.0000 0.0000 0.0000 1
Zr1 Zr 0.0000 0.0000 0.3339 1
Zr2 Zr 0.3333 0.6667 0.1714 1
Tl1 Tl 0.3333 0.6667 0.5000 1
N1 N 0.6667 0.3333 0.2521 1
```

=====

3.
# TbAlZnNi
Theoretical powder XRD pattern, CuKα. Input: a DFT-relaxed cell (PBE, OQMD).
No peak broadening, texture or thermal motion is included.

Most intense lines, 2θ from 10° to 90°, in order of falling intensity:
2θ/deg  intensity  index
34.77  100.0  1 1 2
37.75  62.5  3 1 -1
23.64  32.4  1 1 0
44.32  31.3  0 2 0
25.11  29.5  0 0 2
39.56  28.2  4 0 1

Structural model:
```
data_TbAlZnNi
_cell_length_a 9.640
_cell_length_b 4.087
_cell_length_c 7.093
_cell_angle_alpha 90.00
_cell_angle_beta 90.30
_cell_angle_gamma 90.00
_symmetry_space_group_name_H-M 'C 1 2/m 1'
_symmetry_Int_Tables_number 12
_symmetry_space_group_name_Hall '-C 2y'
loop_
_atom_site_label
_atom_site_type_symbol
_atom_site_fract_x
_atom_site_fract_y
_atom_site_fract_z
_atom_site_occupancy
Tb1 Tb 0.063 0.000 0.242 1
Al1 Al 0.152 0.500 0.557 1
Zn1 Zn 0.153 0.500 0.946 1
Ni1 Ni 0.220 0.000 0.740 1
```

=====

4.
# Cu2SnSe3
Theoretical powder XRD pattern, CuKα. Input: a DFT-relaxed cell (PBE, OQMD).
No peak broadening, texture or thermal motion is included.

Most intense lines, 2θ from 10° to 90°, in order of falling intensity:
2θ/deg  intensity  index
26.89  100.0  2 0 2
44.66  47.6  3 3 -1
26.75  35.6  0 0 8
44.52  32.7  1 3 -11
52.87  28.8  0 6 8
44.40  17.0  2 0 10

Structural model:
```
data_Cu2SnSe3
_cell_length_a 7.030
_cell_length_b 12.176
_cell_length_c 26.752
_cell_angle_alpha 90.00
_cell_angle_beta 94.81
_cell_angle_gamma 90.00
_symmetry_space_group_name_H-M 'C 1 c 1'
_symmetry_Int_Tables_number 9
_symmetry_space_group_name_Hall 'C -2yc'
loop_
_atom_site_label
_atom_site_type_symbol
_atom_site_fract_x
_atom_site_fract_y
_atom_site_fract_z
_atom_site_occupancy
Cu1 Cu 0.000 0.082 0.000 1
Cu2 Cu 0.015 0.245 0.500 1
Cu3 Cu 0.134 0.090 0.375 1
Cu4 Cu 0.142 0.418 0.375 1
Cu5 Cu 0.261 0.410 0.751 1
Cu6 Cu 0.262 0.246 0.250 1
Cu7 Cu 0.373 0.254 0.625 1
Cu8 Cu 0.375 0.086 0.126 1
Sn1 Sn 0.000 0.426 0.996 1
Sn2 Sn 0.127 0.257 0.871 1
Sn3 Sn 0.275 0.083 0.746 1
Sn4 Sn 0.395 0.418 0.121 1
Se1 Se 0.017 0.417 0.097 1
Se2 Se 0.045 0.262 0.591 1
Se3 Se 0.048 0.097 0.091 1
Se4 Se 0.141 0.080 0.466 1
Se5 Se 0.173 0.402 0.466 1
Se6 Se 0.175 0.242 0.971 1
Se7 Se 0.269 0.252 0.340 1
Se8 Se 0.303 0.072 0.847 1
Se9 Se 0.305 0.428 0.841 1
Se10 Se 0.398 0.418 0.221 1
Se11 Se 0.431 0.094 0.216 1
Se12 Se 0.431 0.260 0.716 1
```